# 1
Structure and computed X-ray powder pattern of Dy3Mg2ZnNiPt2 (a GGA-PBE-relaxed structure; a wavelength of 1.5418 Å).

Top 10 peaks for 2θ from 10° to 80°, in order of rising 2θ:
2θ (°)	I (rel.)	(hkl)
14.0	43	0 1 1
24.3	29	0 0 2
33.6	100	1 3 1
36.6	76	1 2 2
37.5	27	0 1 3
42.8	30	0 6 0
44.4	20	1 4 2
46.7	19	2 0 0
65.2	17	2 6 0
72.4	17	1 3 5

Crystal structure
```
data_Dy3Mg2ZnNiPt2
_chemical_formula_sum 'Dy6 Mg4 Zn2 Ni2 Pt4'
_space_group_name_H-M_alt 'A m m 2'
_space_group_IT_number 38
_cell_length_a 3.892
_cell_length_b 12.661
_cell_length_c 7.328
_cell_angle_alpha 90.00
_cell_angle_beta 90.00
_cell_angle_gamma 90.00
loop_
_space_group_symop_operation_xyz
'x,y,z'
'-x,-y,z'
'-x,y,z'
'x,-y,z'
'x,y+1/2,z+1/2'
'-x,-y+1/2,z+1/2'
'-x,y+1/2,z+1/2'
'x,-y+1/2,z+1/2'
loop_
_atom_site_label
_atom_site_type_symbol
_atom_site_fract_x
_atom_site_fract_y
_atom_site_fract_z
Dy1 Dy 0.000 0.000 0.000
Dy2 Dy 0.000 0.198 0.359
Mg1 Mg 0.500 0.120 0.694
Zn1 Zn 0.500 0.000 0.323
Ni1 Ni 0.000 0.000 0.559
Pt1 Pt 0.500 0.170 0.065
```



# 2
Structure and computed X-ray powder pattern of TmHgSO (a GGA-PBE-relaxed structure; a wavelength of 1.5418 Å).

Top 10 peaks for 2θ from 10° to 80°, in order of rising 2θ:
2θ (°)	I (rel.)	(hkl)
25.4	100	2 0 0
28.6	27	0 2 1
29.7	91	1 0 -2
31.1	49	1 0 2
31.7	44	1 2 1
32.3	29	2 1 1
35.9	27	2 2 0
40.5	33	0 3 1
46.5	28	3 0 -2
49.4	32	3 0 2

Crystal structure
```
data_TmHgSO
_chemical_formula_sum 'Tm4 Hg4 S4 O4'
_space_group_name_H-M_alt 'P 1 21/c 1'
_space_group_IT_number 14
_cell_length_a 7.029
_cell_length_b 7.124
_cell_length_c 6.486
_cell_angle_alpha 90.00
_cell_angle_beta 93.55
_cell_angle_gamma 90.00
loop_
_space_group_symop_operation_xyz
'x,y,z'
'-x,-y,-z'
'-x,y+1/2,-z+1/2'
'x,-y+1/2,z+1/2'
loop_
_atom_site_label
_atom_site_type_symbol
_atom_site_fract_x
_atom_site_fract_y
_atom_site_fract_z
Tm1 Tm 0.021 0.138 0.293
Hg1 Hg 0.477 0.689 0.995
S1 S 0.247 0.069 0.954
O1 O 0.099 0.644 0.910
```



# 3
Structure and computed X-ray powder pattern of Zr2Te (a GGA-PBE-relaxed structure; a wavelength of 1.5418 Å).

Top 10 peaks for 2θ from 10° to 80°, in order of rising 2θ:
2θ (°)	I (rel.)	(hkl)
31.5	42	3 1 2
33.3	100	5 1 1
34.2	50	0 1 3
34.5	39	2 0 4
35.4	24	2 1 3
36.4	41	5 1 2
36.8	74	8 0 1
39.4	25	6 1 2
40.4	27	5 0 4
47.2	41	0 2 0

Crystal structure
```
data_Zr2Te
_chemical_formula_sum 'Zr24 Te12'
_space_group_name_H-M_alt 'P n m a'
_space_group_IT_number 62
_cell_length_a 20.066
_cell_length_b 3.852
_cell_length_c 10.751
_cell_angle_alpha 90.00
_cell_angle_beta 90.00
_cell_angle_gamma 90.00
loop_
_space_group_symop_operation_xyz
'x,y,z'
'-x,-y,-z'
'-x+1/2,-y,z+1/2'
'x+1/2,y,-z+1/2'
'x+1/2,-y+1/2,-z+1/2'
'-x+1/2,y+1/2,z+1/2'
'-x,y+1/2,-z'
'x,-y+1/2,z'
loop_
_atom_site_label
_atom_site_type_symbol
_atom_site_fract_x
_atom_site_fract_y
_atom_site_fract_z
Zr1 Zr 0.015 0.250 0.109
Zr2 Zr 0.033 0.750 0.388
Zr3 Zr 0.104 0.250 0.854
Zr4 Zr 0.146 0.750 0.078
Zr5 Zr 0.159 0.250 0.542
Zr6 Zr 0.224 0.750 0.748
Te1 Te 0.073 0.750 0.662
Te2 Te 0.131 0.250 0.281
Te3 Te 0.240 0.250 0.962
```



# 4
Structure and computed X-ray powder pattern of Nb3InTe4 (a GGA-PBE-relaxed structure; a wavelength of 1.5418 Å).

Top 10 peaks for 2θ from 10° to 80°, in order of rising 2θ:
2θ (°)	I (rel.)	(hkl)
25.7	65	1 1 1
30.7	90	3 0 0
33.0	68	2 1 1
37.2	30	3 1 0
37.7	30	0 0 2
39.1	25	1 0 2
40.5	100	2 2 1
49.4	34	3 2 1
64.0	29	6 0 0
70.0	19	2 2 3

Crystal structure
```
data_Nb3InTe4
_chemical_formula_sum 'Nb6 In2 Te8'
_space_group_name_H-M_alt 'P 63/m'
_space_group_IT_number 176
_space_group_name_Hall '-P 6c'
_cell_length_a 10.0725
_cell_length_b 10.0725
_cell_length_c 4.7717
_cell_angle_alpha 90.00
_cell_angle_beta 90.00
_cell_angle_gamma 120.00
loop_
_atom_site_label
_atom_site_type_symbol
_atom_site_fract_x
_atom_site_fract_y
_atom_site_fract_z
Nb1 Nb 0.1601 0.5116 0.2500
In1 In 0.0000 0.0000 0.0000
Te1 Te 0.0083 0.6842 0.2500
Te2 Te 0.3333 0.6667 0.7500
```



Which formula does entry 4 have? Nb3InTe4



Which formula does entry 2 have? TmHgSO